# 1
Starting from a GGA+U-relaxed structure, the powder X-ray diffraction pattern of Li6FeO3F3 was calculated for Cu Kα, 1.54184 Å.
Peak positions follow from Bragg's law for the DFT cell and can differ from measured ones.

The 6 most intense peaks (15° ≤ 2θ ≤ 90°), in order of falling intensity:
2theta, I (rel.), (hkl)
17.10, 100, 1 0 0
27.58, 58, 1 0 -2
41.08, 43, 2 4 0
52.97, 20, 2 6 1
26.79, 19, 0 0 2
57.36, 15, 0 10 1

Atomic structure:
```
data_Li6FeO3F3
_chemical_formula_sum 'Li24 Fe4 O12 F12'
_cell_length_a 5.3954
_cell_length_b 16.5494
_cell_length_c 6.9231
_cell_angle_alpha 90.00
_cell_angle_beta 105.99
_cell_angle_gamma 90.00
_space_group_name_H-M_alt 'P 1 m 1'
_space_group_IT_number 6
_space_group_name_Hall 'P -2y'
loop_
_atom_site_label
_atom_site_fract_x
_atom_site_fract_y
_atom_site_fract_z
Li1 0.0000 0.0755 0.9999
Li2 0.0000 0.1745 0.5000
Li3 0.0001 0.3255 0.4999
Li4 0.0000 0.4245 0.0000
Li5 0.3333 0.0911 0.3332
Li6 0.3335 0.1588 0.8334
Li7 0.3334 0.3412 0.8334
Li8 0.3334 0.4088 0.3334
Li9 0.6353 0.0834 0.6824
Li10 0.6352 0.1667 0.1823
Li11 0.6353 0.3333 0.1824
Li12 0.6354 0.4167 0.6824
Fe1 0.0585 0.2500 0.0740
Fe2 0.0586 0.0000 0.5742
Fe3 0.0587 0.5000 0.5741
O1 0.2647 0.0932 0.5940
O2 0.2648 0.1567 0.0941
O3 0.2646 0.3433 0.0941
O4 0.2650 0.4068 0.5940
O5 0.8917 0.2500 0.2800
O6 0.8926 0.0000 0.7803
O7 0.8925 0.5000 0.7803
F1 0.0994 0.0000 0.2263
F2 0.0997 0.5000 0.2274
F3 0.1017 0.2500 0.7280
F4 0.7120 0.0973 0.4222
F5 0.7121 0.1533 0.9221
F6 0.7120 0.3467 0.9222
F7 0.7125 0.4029 0.4220
```

# 2
Starting from a GGA+U-relaxed structure, the powder X-ray diffraction pattern of TiMn3O8 was calculated for Cu Kα, 1.54184 Å.
Peak positions follow from Bragg's law for the DFT cell and can differ from measured ones.

The 6 most intense peaks (15° ≤ 2θ ≤ 90°), in order of falling intensity:
2theta, I (rel.), (hkl)
18.57, 100, 1 1 1
43.76, 50, 4 0 0
35.99, 33, 3 1 1
63.60, 25, 4 4 0
57.90, 16, 5 1 1
66.89, 13, 5 3 1

Atomic structure:
```
data_TiMn3O8
_chemical_formula_sum 'Ti4 Mn12 O32'
_cell_length_a 8.2755
_cell_length_b 8.2755
_cell_length_c 8.2755
_cell_angle_alpha 90.00
_cell_angle_beta 90.00
_cell_angle_gamma 90.00
_space_group_name_H-M_alt 'P 43 3 2'
_space_group_IT_number 212
_space_group_name_Hall 'P 4acd 2ab 3'
loop_
_atom_site_label
_atom_site_fract_x
_atom_site_fract_y
_atom_site_fract_z
Ti1 0.1250 0.1250 0.1250
Mn1 0.1223 0.8723 0.8750
O1 0.1060 0.8860 0.1090
O2 0.1115 0.3885 0.6115
```

# 3
Starting from a GGA+U-relaxed structure, the powder X-ray diffraction pattern of Cs2HfW3O12 was calculated for Cu Kα, 1.54184 Å.
Peak positions follow from Bragg's law for the DFT cell and can differ from measured ones.

The 6 most intense peaks (15° ≤ 2θ ≤ 90°), in order of falling intensity:
2theta, I (rel.), (hkl)
28.02, 100, 1 1 3
29.36, 73, 2 0 2
28.12, 51, 0 2 1
27.82, 46, 0 1 5
48.98, 38, 2 2 0
48.48, 38, 2 0 8

Atomic structure:
```
data_Cs2HfW3O12
_chemical_formula_sum 'Cs6 Hf3 W9 O36'
_cell_length_a 7.4384
_cell_length_b 7.4384
_cell_length_c 18.4895
_cell_angle_alpha 90.00
_cell_angle_beta 90.00
_cell_angle_gamma 120.00
_space_group_name_H-M_alt 'R -3 m'
_space_group_IT_number 166
_space_group_name_Hall '-R 3 2"'
loop_
_atom_site_label
_atom_site_fract_x
_atom_site_fract_y
_atom_site_fract_z
Cs1 0.0000 0.0000 0.1274
Hf1 0.0000 0.0000 0.5000
W1 0.0000 0.5000 0.0000
O1 0.0736 0.5368 0.1001
O2 0.0864 0.5432 0.3518
```

# 4
Starting from a GGA+U-relaxed structure, the powder X-ray diffraction pattern of Li3V4O8 was calculated for Cu Kα, 1.54184 Å.
Peak positions follow from Bragg's law for the DFT cell and can differ from measured ones.

The 6 most intense peaks (15° ≤ 2θ ≤ 90°), in order of falling intensity:
2theta, I (rel.), (hkl)
18.30, 100, 1 1 1
42.70, 68, 2 2 -2
17.51, 51, 0 1 0
42.43, 35, 2 0 2
35.19, 23, 1 0 3
60.83, 21, 0 2 -4

Atomic structure:
```
data_Li3V4O8
_chemical_formula_sum 'Li6 V8 O16'
_cell_length_a 5.9256
_cell_length_b 6.0971
_cell_length_c 10.1989
_cell_angle_alpha 73.72
_cell_angle_beta 89.87
_cell_angle_gamma 61.22
_space_group_name_H-M_alt 'P -1'
_space_group_IT_number 2
_space_group_name_Hall '-P 1'
loop_
_atom_site_label
_atom_site_fract_x
_atom_site_fract_y
_atom_site_fract_z
Li1 0.0342 0.4306 0.1814
Li2 0.2490 0.9993 0.2504
Li3 0.4654 0.5671 0.3182
V1 0.0000 0.0000 0.0000
V2 0.0000 0.0000 0.5000
V3 0.0000 0.5000 0.5000
V4 0.2510 0.0024 0.7488
V5 0.5000 0.0000 0.0000
V6 0.5000 0.0000 0.5000
V7 0.5000 0.5000 0.0000
O1 0.1010 0.7608 0.3744
O2 0.1260 0.7747 0.8722
O3 0.1355 0.2308 0.3878
O4 0.1535 0.2024 0.8749
O5 0.3491 0.7991 0.6247
O6 0.3672 0.2370 0.6262
O7 0.3688 0.7636 0.1113
O8 0.4013 0.2391 0.1277
```

Repeat the first record exactly.
Starting from a GGA+U-relaxed structure, the powder X-ray diffraction pattern of Li6FeO3F3 was calculated for Cu Kα, 1.54184 Å.
Peak positions follow from Bragg's law for the DFT cell and can differ from measured ones.

The 6 most intense peaks (15° ≤ 2θ ≤ 90°), in order of falling intensity:
2theta, I (rel.), (hkl)
17.10, 100, 1 0 0
27.58, 58, 1 0 -2
41.08, 43, 2 4 0
52.97, 20, 2 6 1
26.79, 19, 0 0 2
57.36, 15, 0 10 1

Atomic structure:
```
data_Li6FeO3F3
_chemical_formula_sum 'Li24 Fe4 O12 F12'
_cell_length_a 5.3954
_cell_length_b 16.5494
_cell_length_c 6.9231
_cell_angle_alpha 90.00
_cell_angle_beta 105.99
_cell_angle_gamma 90.00
_space_group_name_H-M_alt 'P 1 m 1'
_space_group_IT_number 6
_space_group_name_Hall 'P -2y'
loop_
_atom_site_label
_atom_site_fract_x
_atom_site_fract_y
_atom_site_fract_z
Li1 0.0000 0.0755 0.9999
Li2 0.0000 0.1745 0.5000
Li3 0.0001 0.3255 0.4999
Li4 0.0000 0.4245 0.0000
Li5 0.3333 0.0911 0.3332
Li6 0.3335 0.1588 0.8334
Li7 0.3334 0.3412 0.8334
Li8 0.3334 0.4088 0.3334
Li9 0.6353 0.0834 0.6824
Li10 0.6352 0.1667 0.1823
Li11 0.6353 0.3333 0.1824
Li12 0.6354 0.4167 0.6824
Fe1 0.0585 0.2500 0.0740
Fe2 0.0586 0.0000 0.5742
Fe3 0.0587 0.5000 0.5741
O1 0.2647 0.0932 0.5940
O2 0.2648 0.1567 0.0941
O3 0.2646 0.3433 0.0941
O4 0.2650 0.4068 0.5940
O5 0.8917 0.2500 0.2800
O6 0.8926 0.0000 0.7803
O7 0.8925 0.5000 0.7803
F1 0.0994 0.0000 0.2263
F2 0.0997 0.5000 0.2274
F3 0.1017 0.2500 0.7280
F4 0.7120 0.0973 0.4222
F5 0.7121 0.1533 0.9221
F6 0.7120 0.3467 0.9222
F7 0.7125 0.4029 0.4220
```

Repeat the second record exactly.
Starting from a GGA+U-relaxed structure, the powder X-ray diffraction pattern of TiMn3O8 was calculated for Cu Kα, 1.54184 Å.
Peak positions follow from Bragg's law for the DFT cell and can differ from measured ones.

The 6 most intense peaks (15° ≤ 2θ ≤ 90°), in order of falling intensity:
2theta, I (rel.), (hkl)
18.57, 100, 1 1 1
43.76, 50, 4 0 0
35.99, 33, 3 1 1
63.60, 25, 4 4 0
57.90, 16, 5 1 1
66.89, 13, 5 3 1

Atomic structure:
```
data_TiMn3O8
_chemical_formula_sum 'Ti4 Mn12 O32'
_cell_length_a 8.2755
_cell_length_b 8.2755
_cell_length_c 8.2755
_cell_angle_alpha 90.00
_cell_angle_beta 90.00
_cell_angle_gamma 90.00
_space_group_name_H-M_alt 'P 43 3 2'
_space_group_IT_number 212
_space_group_name_Hall 'P 4acd 2ab 3'
loop_
_atom_site_label
_atom_site_fract_x
_atom_site_fract_y
_atom_site_fract_z
Ti1 0.1250 0.1250 0.1250
Mn1 0.1223 0.8723 0.8750
O1 0.1060 0.8860 0.1090
O2 0.1115 0.3885 0.6115
```